Record 1
Y3Ni19B10: calculated powder diffraction line list (Cu Kα, 1.54184 Å), based on a cell relaxed with GGA-PBE.
Peak positions follow from Bragg's law for the DFT cell and can differ from measured ones.

Most intense lines, 2θ from 10° to 90°, by angle:
2.351 Å, 2θ 38.28, rel. 47; 2.249 Å, 2θ 40.10, rel. 79; 2.185 Å, 2θ 41.33, rel. 100; 1.964 Å, 2θ 46.23, rel. 39; 1.926 Å, 2θ 47.19, rel. 50; 1.871 Å, 2θ 48.67, rel. 43

Atomic structure:
abc: 7.908 7.908 5.779
angles: 91.16 91.16 67.08
Atoms (fractional coordinates):
Y  0.000  0.000  0.000
Y  0.374  0.374  0.614
Y  0.626  0.626  0.386
Ni  0.000  0.000  0.500
Ni  0.045  0.518  0.302
Ni  0.122  0.622  0.926
Ni  0.163  0.163  0.703
Ni  0.182  0.182  0.271
Ni  0.229  0.712  0.301
Ni  0.288  0.771  0.699
Ni  0.378  0.378  0.125
Ni  0.378  0.878  0.074
Ni  0.482  0.955  0.698
Ni  0.518  0.045  0.302
Ni  0.622  0.122  0.926
Ni  0.622  0.622  0.875
Ni  0.712  0.229  0.301
Ni  0.771  0.288  0.699
Ni  0.818  0.818  0.729
Ni  0.837  0.837  0.297
Ni  0.878  0.378  0.074
Ni  0.955  0.482  0.698
B  0.065  0.700  0.569
B  0.143  0.349  0.975
B  0.300  0.935  0.431
B  0.349  0.143  0.975
B  0.384  0.616  0.000
B  0.616  0.384  0.000
B  0.651  0.857  0.025
B  0.700  0.065  0.569
B  0.857  0.651  0.025
B  0.935  0.300  0.431

---

Record 2
YNi12B6: calculated powder diffraction line list (Cu Kα, 1.54184 Å), based on a cell relaxed with GGA-PBE.
Peak positions follow from Bragg's law for the DFT cell and can differ from measured ones.

Most intense lines, 2θ from 10° to 90°, by angle:
2.826 Å, 2θ 31.66, rel. 40; 2.582 Å, 2θ 34.75, rel. 55; 2.286 Å, 2θ 39.41, rel. 62; 2.194 Å, 2θ 41.15, rel. 78; 2.185 Å, 2θ 41.31, rel. 100; 1.835 Å, 2θ 49.70, rel. 58

Atomic structure:
abc: 6.041 6.041 10.997
angles: 90.00 90.00 75.25
Atoms (fractional coordinates):
Y  0.166  0.834  0.500
Y  0.834  0.166  0.000
Ni  0.003  0.631  0.059
Ni  0.119  0.145  0.240
Ni  0.145  0.119  0.740
Ni  0.195  0.544  0.262
Ni  0.212  0.526  0.720
Ni  0.218  0.782  0.897
Ni  0.271  0.342  0.928
Ni  0.342  0.271  0.428
Ni  0.369  0.997  0.059
Ni  0.433  0.567  0.077
Ni  0.456  0.805  0.262
Ni  0.474  0.788  0.720
Ni  0.526  0.212  0.220
Ni  0.544  0.195  0.762
Ni  0.567  0.433  0.577
Ni  0.631  0.003  0.559
Ni  0.658  0.729  0.928
Ni  0.729  0.658  0.428
Ni  0.782  0.218  0.397
Ni  0.788  0.474  0.220
Ni  0.805  0.456  0.762
Ni  0.855  0.881  0.240
Ni  0.881  0.855  0.740
Ni  0.997  0.369  0.559
B  0.012  0.401  0.373
B  0.164  0.836  0.157
B  0.242  0.327  0.111
B  0.327  0.242  0.611
B  0.401  0.012  0.873
B  0.487  0.513  0.841
B  0.513  0.487  0.341
B  0.599  0.988  0.373
B  0.673  0.758  0.111
B  0.758  0.673  0.611
B  0.836  0.164  0.657
B  0.988  0.599  0.873

---

Record 3
Y3Ni7B2: calculated powder diffraction line list (Cu Kα, 1.54184 Å), based on a cell relaxed with GGA-PBE.
Peak positions follow from Bragg's law for the DFT cell and can differ from measured ones.

Most intense lines, 2θ from 10° to 90°, by angle:
2.405 Å, 2θ 37.40, rel. 100; 2.184 Å, 2θ 41.34, rel. 84; 2.078 Å, 2θ 43.55, rel. 83; 1.443 Å, 2θ 64.58, rel. 35; 1.292 Å, 2θ 73.27, rel. 25; 1.276 Å, 2θ 74.36, rel. 26

Atomic structure:
abc: 5.103 5.103 14.332
angles: 90.00 90.00 120.00
Atoms (fractional coordinates):
Y  0.333  0.667  0.032
Y  0.333  0.667  0.250
Y  0.333  0.667  0.468
Y  0.667  0.333  0.532
Y  0.667  0.333  0.750
Y  0.667  0.333  0.968
Ni  0.000  0.000  0.000
Ni  0.000  0.000  0.500
Ni  0.165  0.331  0.650
Ni  0.165  0.331  0.850
Ni  0.165  0.835  0.650
Ni  0.165  0.835  0.850
Ni  0.331  0.165  0.150
Ni  0.331  0.165  0.350
Ni  0.669  0.835  0.650
Ni  0.669  0.835  0.850
Ni  0.835  0.165  0.150
Ni  0.835  0.165  0.350
Ni  0.835  0.669  0.150
Ni  0.835  0.669  0.350
B  0.000  0.000  0.250
B  0.000  0.000  0.750
B  0.333  0.667  0.750
B  0.667  0.333  0.250

---

Record 4
YNi12B6: calculated powder diffraction line list (Cu Kα, 1.54184 Å), based on a cell relaxed with GGA-PBE.
Peak positions follow from Bragg's law for the DFT cell and can differ from measured ones.

Most intense lines, 2θ from 10° to 90°, by angle:
2.748 Å, 2θ 32.59, rel. 38; 2.184 Å, 2θ 41.35, rel. 100; 1.833 Å, 2θ 49.75, rel. 29; 1.798 Å, 2θ 50.78, rel. 13; 1.585 Å, 2θ 58.21, rel. 13; 1.504 Å, 2θ 61.66, rel. 13

Atomic structure:
abc: 6.017 6.017 6.017
angles: 104.41 104.41 104.41
Atoms (fractional coordinates):
Y  0.000  0.000  0.000
Ni  0.131  0.500  0.869
Ni  0.131  0.869  0.500
Ni  0.187  0.453  0.453
Ni  0.453  0.187  0.453
Ni  0.453  0.453  0.187
Ni  0.500  0.131  0.869
Ni  0.500  0.869  0.131
Ni  0.547  0.547  0.813
Ni  0.547  0.813  0.547
Ni  0.813  0.547  0.547
Ni  0.869  0.131  0.500
Ni  0.869  0.500  0.131
B  0.235  0.235  0.669
B  0.235  0.669  0.235
B  0.331  0.765  0.765
B  0.669  0.235  0.235
B  0.765  0.331  0.765
B  0.765  0.765  0.331

---

Record 5
Zr2Ni21B6: calculated powder diffraction line list (Cu Kα, 1.54184 Å), based on a cell relaxed with GGA-PBE.
Peak positions follow from Bragg's law for the DFT cell and can differ from measured ones.

Most intense lines, 2θ from 10° to 90°, by angle:
2.375 Å, 2θ 37.88, rel. 37; 2.168 Å, 2θ 41.65, rel. 37; 2.044 Å, 2θ 44.31, rel. 100; 1.878 Å, 2θ 48.48, rel. 23; 1.796 Å, 2θ 50.85, rel. 25; 1.252 Å, 2θ 76.02, rel. 27

Atomic structure:
abc: 7.512 7.512 7.512
angles: 60.00 60.00 60.00
Atoms (fractional coordinates):
Zr  0.250  0.250  0.250
Zr  0.750  0.750  0.750
Ni  0.000  0.000  0.000
Ni  0.000  0.000  0.339
Ni  0.000  0.000  0.661
Ni  0.000  0.339  0.000
Ni  0.000  0.339  0.661
Ni  0.000  0.661  0.000
Ni  0.000  0.661  0.339
Ni  0.159  0.614  0.614
Ni  0.339  0.000  0.000
Ni  0.339  0.000  0.661
Ni  0.339  0.661  0.000
Ni  0.386  0.386  0.386
Ni  0.386  0.386  0.841
Ni  0.386  0.841  0.386
Ni  0.614  0.159  0.614
Ni  0.614  0.614  0.159
Ni  0.614  0.614  0.614
Ni  0.661  0.000  0.000
Ni  0.661  0.000  0.339
Ni  0.661  0.339  0.000
Ni  0.841  0.386  0.386
B  0.269  0.269  0.731
B  0.269  0.731  0.269
B  0.269  0.731  0.731
B  0.731  0.269  0.269
B  0.731  0.269  0.731
B  0.731  0.731  0.269

---

Record 6
ZrNiB4: calculated powder diffraction line list (Cu Kα, 1.54184 Å), based on a cell relaxed with GGA-PBE.
Peak positions follow from Bragg's law for the DFT cell and can differ from measured ones.

Most intense lines, 2θ from 10° to 90°, by angle:
3.099 Å, 2θ 28.81, rel. 30; 2.718 Å, 2θ 32.96, rel. 79; 2.043 Å, 2θ 44.33, rel. 100; 1.569 Å, 2θ 58.85, rel. 24; 1.346 Å, 2θ 69.88, rel. 18; 1.245 Å, 2θ 76.55, rel. 18

Atomic structure:
abc: 3.138 3.138 6.198
angles: 90.00 90.00 120.00
Atoms (fractional coordinates):
Zr  0.000  0.000  0.000
Ni  0.000  0.000  0.500
B  0.333  0.667  0.278
B  0.333  0.667  0.722
B  0.667  0.333  0.278
B  0.667  0.333  0.722

---

Record 7
NpB4: calculated powder diffraction line list (Cu Kα, 1.54184 Å), based on a cell relaxed with GGA-PBE.
Peak positions follow from Bragg's law for the DFT cell and can differ from measured ones.

Most intense lines, 2θ from 10° to 90°, by angle:
3.977 Å, 2θ 22.36, rel. 73; 3.526 Å, 2θ 25.26, rel. 57; 3.154 Å, 2θ 28.30, rel. 81; 2.638 Å, 2θ 33.98, rel. 70; 2.471 Å, 2θ 36.36, rel. 100; 1.571 Å, 2θ 58.77, rel. 45

Atomic structure:
abc: 7.052 7.052 3.977
angles: 90.00 90.00 90.00
Atoms (fractional coordinates):
Np  0.188  0.312  0.000
Np  0.312  0.812  0.000
Np  0.688  0.188  0.000
Np  0.812  0.688  0.000
B  0.000  0.000  0.201
B  0.000  0.000  0.799
B  0.039  0.822  0.500
B  0.087  0.587  0.500
B  0.178  0.039  0.500
B  0.322  0.539  0.500
B  0.413  0.087  0.500
B  0.461  0.322  0.500
B  0.500  0.500  0.201
B  0.500  0.500  0.799
B  0.539  0.678  0.500
B  0.587  0.913  0.500
B  0.678  0.461  0.500
B  0.822  0.961  0.500
B  0.913  0.413  0.500
B  0.961  0.178  0.500

---

Record 8
B2Os2O5: calculated powder diffraction line list (Cu Kα, 1.54184 Å), based on a cell relaxed with GGA-PBE.
Peak positions follow from Bragg's law for the DFT cell and can differ from measured ones.

Most intense lines, 2θ from 10° to 90°, by angle:
3.513 Å, 2θ 25.35, rel. 52; 3.292 Å, 2θ 27.09, rel. 96; 2.402 Å, 2θ 37.44, rel. 100; 2.328 Å, 2θ 38.68, rel. 38; 1.940 Å, 2θ 46.82, rel. 67; 1.358 Å, 2θ 69.19, rel. 34

Atomic structure:
abc: 3.292 3.292 7.026
angles: 90.00 90.00 90.00
Atoms (fractional coordinates):
B  0.000  0.000  0.219
B  0.000  0.000  0.781
Os  0.500  0.500  0.000
Os  0.500  0.500  0.500
O  0.000  0.000  0.000
O  0.000  0.500  0.315
O  0.000  0.500  0.685
O  0.500  0.000  0.315
O  0.500  0.000  0.685

---

Record 9
RbZnBP2O8: calculated powder diffraction line list (Cu Kα, 1.54184 Å), based on a cell relaxed with GGA-PBE.
Peak positions follow from Bragg's law for the DFT cell and can differ from measured ones.

Most intense lines, 2θ from 10° to 90°, by angle:
3.646 Å, 2θ 24.42, rel. 100; 3.556 Å, 2θ 25.04, rel. 85; 3.512 Å, 2θ 25.36, rel. 54; 3.384 Å, 2θ 26.34, rel. 31; 3.046 Å, 2θ 29.32, rel. 93; 2.908 Å, 2θ 30.75, rel. 40

Atomic structure:
abc: 7.369 7.545 7.784
angles: 61.04 64.61 76.45
Atoms (fractional coordinates):
Rb  0.227  0.245  0.415
Rb  0.773  0.755  0.585
Zn  0.305  0.553  0.744
Zn  0.695  0.447  0.256
B  0.197  0.011  0.073
B  0.803  0.989  0.927
P  0.054  0.690  0.090
P  0.465  0.839  0.279
P  0.535  0.161  0.721
P  0.946  0.310  0.910
O  0.044  0.179  0.080
O  0.088  0.824  0.175
O  0.093  0.470  0.713
O  0.250  0.593  0.990
O  0.300  0.996  0.204
O  0.331  0.048  0.856
O  0.416  0.808  0.503
O  0.473  0.650  0.254
O  0.527  0.350  0.746
O  0.584  0.192  0.497
O  0.669  0.952  0.144
O  0.700  0.004  0.796
O  0.750  0.407  0.010
O  0.907  0.530  0.287
O  0.912  0.176  0.825
O  0.956  0.821  0.920